Record 1
# MgFe6O10F2
Calculated X-ray diffraction stick pattern, λ = 1.5418 Å (Cu Kα). Input: a structure optimized by DFT (GGA+U).

Cell and atoms:
```
data_MgFe6O10F2
_chemical_formula_sum 'Mg1 Fe6 O10 F2'
_cell_length_a 4.993
_cell_length_b 3.054
_cell_length_c 14.161
_cell_angle_alpha 90.00
_cell_angle_beta 100.12
_cell_angle_gamma 90.00
_symmetry_space_group_name_H-M 'P 1 m 1'
_symmetry_Int_Tables_number 6
_symmetry_space_group_name_Hall 'P -2y'
loop_
_atom_site_label
_atom_site_type_symbol
_atom_site_fract_x
_atom_site_fract_y
_atom_site_fract_z
Mg1 Mg 0.000 0.000 0.000
Fe1 Fe 0.268 0.500 0.334
Fe2 Fe 0.347 0.500 0.657
Fe3 Fe 0.488 0.500 0.964
Fe4 Fe 0.699 0.000 0.197
Fe5 Fe 0.840 0.000 0.483
Fe6 Fe 0.924 0.000 0.800
O1 O 0.065 0.500 0.740
O2 O 0.068 0.000 0.259
O3 O 0.175 0.000 0.583
O4 O 0.266 0.000 0.907
O5 O 0.480 0.000 0.398
O6 O 0.536 0.500 0.236
O7 O 0.560 0.000 0.719
O8 O 0.669 0.000 0.057
O9 O 0.802 0.500 0.899
O10 O 0.985 0.500 0.422
F1 F 0.196 0.500 0.063
F2 F 0.680 0.500 0.557
```

Most intense lines, 10 to 80 degrees two-theta, most intense first:
| Position (°2θ) | I (rel.) | (hkl) |
| --- | --- | --- |
| 28.67 | 100 | 1 0 3 |
| 34.58 | 46 | 1 1 0 |
| 55.50 | 40 | 1 1 6 |
| 35.17 | 39 | 0 1 3 |
| 23.93 | 37 | 1 0 -3 |
| 51.19 | 28 | 2 1 -4 |
| 63.77 | 24 | 3 1 -1 |
| 41.41 | 18 | 1 1 3 |
| 35.97 | 17 | 2 0 -1 |
| 60.65 | 16 | 0 2 0 |


Record 2
# LiFeP3O9
Calculated X-ray diffraction stick pattern, λ = 1.5418 Å (Cu Kα). Input: a structure optimized by DFT (GGA+U).

Cell and atoms:
```
data_LiFeP3O9
_chemical_formula_sum 'Li4 Fe4 P12 O36'
_cell_length_a 11.258
_cell_length_b 6.754
_cell_length_c 9.806
_cell_angle_alpha 90.00
_cell_angle_beta 90.10
_cell_angle_gamma 90.00
_symmetry_space_group_name_H-M 'C 1 c 1'
_symmetry_Int_Tables_number 9
_symmetry_space_group_name_Hall 'C -2yc'
loop_
_atom_site_label
_atom_site_type_symbol
_atom_site_fract_x
_atom_site_fract_y
_atom_site_fract_z
Li1 Li 0.000 0.139 0.000
Fe1 Fe 0.178 0.498 0.530
P1 P 0.219 0.153 0.783
P2 P 0.322 0.254 0.278
P3 P 0.480 0.098 0.774
O1 O 0.031 0.334 0.140
O2 O 0.056 0.380 0.398
O3 O 0.155 0.216 0.911
O4 O 0.176 0.224 0.647
O5 O 0.222 0.086 0.283
O6 O 0.304 0.382 0.154
O7 O 0.335 0.356 0.414
O8 O 0.358 0.209 0.805
O9 O 0.442 0.129 0.252
```

Most intense lines, 10 to 80 degrees two-theta, most intense first:
| Position (°2θ) | I (rel.) | (hkl) |
| --- | --- | --- |
| 23.78 | 100 | 1 1 2 |
| 15.30 | 79 | 1 1 0 |
| 28.70 | 50 | 3 1 1 |
| 32.84 | 49 | 3 1 -2 |
| 24.07 | 42 | 2 0 2 |
| 15.74 | 36 | 2 0 0 |
| 18.09 | 32 | 0 0 2 |
| 27.94 | 30 | 0 2 1 |
| 32.19 | 20 | 0 2 2 |
| 36.02 | 18 | 2 2 -2 |


Record 3
# Ba2CoCu2S2O2
Calculated X-ray diffraction stick pattern, λ = 1.5418 Å (Cu Kα). Input: a structure optimized by DFT (GGA+U).

Cell and atoms:
```
data_Ba2CoCu2S2O2
_chemical_formula_sum 'Ba4 Co2 Cu4 S4 O4'
_cell_length_a 4.006
_cell_length_b 4.006
_cell_length_c 19.766
_cell_angle_alpha 90.00
_cell_angle_beta 90.00
_cell_angle_gamma 90.00
_symmetry_space_group_name_H-M 'I 4/m m m'
_symmetry_Int_Tables_number 139
_symmetry_space_group_name_Hall '-I 4 2'
loop_
_atom_site_label
_atom_site_type_symbol
_atom_site_fract_x
_atom_site_fract_y
_atom_site_fract_z
Ba1 Ba 0.000 0.000 0.097
Co1 Co 0.000 0.000 0.500
Cu1 Cu 0.000 0.500 0.250
S1 S 0.000 0.000 0.319
O1 O 0.000 0.500 0.000
```

Most intense lines, 10 to 80 degrees two-theta, most intense first:
| Position (°2θ) | I (rel.) | (hkl) |
| --- | --- | --- |
| 31.80 | 100 | 1 0 5 |
| 36.56 | 49 | 1 1 4 |
| 45.27 | 40 | 2 0 0 |
| 56.38 | 37 | 2 1 5 |
| 32.89 | 29 | 1 1 2 |
| 56.79 | 26 | 1 1 10 |
| 22.65 | 25 | 1 0 1 |
| 31.58 | 17 | 1 1 0 |
| 65.95 | 12 | 2 2 0 |
| 27.07 | 12 | 0 0 6 |